No. 1
Diffraction record for BeAlCr. The PXRD pattern is computed, not measured: it uses a crystal structure in Alexandria, relaxed with GGA-PBE and Cu Kα.

Largest 12 diffraction maxima, low angle first, 2θ = 10–90°:
two_theta  Rel. int.
20.79  444
23.72  227
33.05  669
38.25  185
42.31  154
43.35  140
44.93  1000
46.32  292
49.47  274
54.22  98
76.13  101
84.89  140

Structural model:
Lattice parameters (Å, degrees): 3.920 4.755 4.755 52.08 90.00 90.00
Atoms (fractional coordinates):
Be 0.250 0.163 0.837
Be 0.750 0.837 0.163
Al 0.250 0.530 0.129
Al 0.750 0.129 0.530
Cr 0.250 0.812 0.470
Cr 0.750 0.470 0.812


No. 2
Diffraction record for Rb3TeH6Cl3O6. The PXRD pattern is computed, not measured: it uses a crystal structure in Alexandria, relaxed with GGA-PBE and Cu Kα.

Largest 12 diffraction maxima, low angle first, 2θ = 10–90°:
two_theta  Rel. int.
12.16  148
17.26  482
24.47  1000
26.71  553
30.08  365
31.94  143
32.55  147
34.91  260
40.64  253
43.08  364
50.14  224
66.78  165

Structural model:
Lattice parameters (Å, degrees): 9.206 9.206 9.206 104.53 104.53 104.53
Atoms (fractional coordinates):
Rb 0.205 0.750 0.295
Rb 0.250 0.705 0.795
Rb 0.295 0.205 0.750
Rb 0.705 0.795 0.250
Rb 0.750 0.295 0.205
Rb 0.795 0.250 0.705
Te 0.000 0.000 0.000
Te 0.500 0.500 0.500
H 0.057 0.092 0.295
H 0.092 0.295 0.057
H 0.205 0.408 0.443
H 0.295 0.057 0.092
H 0.408 0.443 0.205
H 0.443 0.205 0.408
H 0.557 0.795 0.592
H 0.592 0.557 0.795
H 0.705 0.943 0.908
H 0.795 0.592 0.557
H 0.908 0.705 0.943
H 0.943 0.908 0.705
Cl 0.018 0.250 0.482
Cl 0.250 0.482 0.018
Cl 0.482 0.018 0.250
Cl 0.518 0.982 0.750
Cl 0.750 0.518 0.982
Cl 0.982 0.750 0.518
O 0.001 0.781 0.933
O 0.067 0.999 0.219
O 0.219 0.067 0.999
O 0.281 0.501 0.433
O 0.433 0.281 0.501
O 0.499 0.567 0.719
O 0.501 0.433 0.281
O 0.567 0.719 0.499
O 0.719 0.499 0.567
O 0.781 0.933 0.001
O 0.933 0.001 0.781
O 0.999 0.219 0.067